Record 1
Starting from a cell relaxed with GGA-PBE, the X-ray diffraction stick pattern of LiB2H was simulated for copper Kα.
Peak positions follow from Bragg's law for the DFT cell and can differ from measured ones.

Most intense lines, 15° ≤ 2θ ≤ 90°, by angle:
- 20.14°, intensity 629
- 20.51°, intensity 1000
- 34.60°, intensity 75
- 35.11°, intensity 95
- 35.70°, intensity 350
- 50.04°, intensity 57
- 50.80°, intensity 52
- 54.80°, intensity 140
- 61.91°, intensity 59
- 62.57°, intensity 52

Crystal structure
a = 5.0322 Å, b = 5.0322 Å, c = 3.1717 Å
α = 91.46°, β = 91.46°, γ = 61.19°
Fractional positions:
1 Li 0.1489 0.1489 0.2613
2 Li 0.8511 0.8511 0.7387
3 B 0.2771 0.6298 0.2464
4 B 0.3702 0.7229 0.7536
5 B 0.6245 0.3755 0.0000
6 B 0.6248 0.3752 0.5000
7 H 0.0603 0.5737 0.2341
8 H 0.4263 0.9397 0.7659


Record 2
Starting from a cell relaxed with GGA-PBE, the X-ray diffraction stick pattern of Sm7Dy12Pb was simulated for copper Kα.
Peak positions follow from Bragg's law for the DFT cell and can differ from measured ones.

Most intense lines, 15° ≤ 2θ ≤ 90°, by angle:
- 30.16°, intensity 246
- 30.62°, intensity 228
- 30.84°, intensity 1000
- 32.16°, intensity 692
- 32.48°, intensity 508
- 33.58°, intensity 292
- 38.73°, intensity 162
- 52.65°, intensity 143
- 53.15°, intensity 175
- 53.76°, intensity 215

Crystal structure
a = 8.7618 Å, b = 8.7618 Å, c = 8.7618 Å
α = 89.06°, β = 89.06°, γ = 89.06°
Fractional positions:
1 Sm 0.0000 0.0000 0.0000
2 Sm 0.1258 0.2653 0.7156
3 Sm 0.2653 0.7156 0.1258
4 Sm 0.2844 0.8742 0.7347
5 Sm 0.7156 0.1258 0.2653
6 Sm 0.7347 0.2844 0.8742
7 Sm 0.8742 0.7347 0.2844
8 Dy 0.0353 0.3770 0.1581
9 Dy 0.1581 0.0353 0.3770
10 Dy 0.1616 0.6144 0.4940
11 Dy 0.3770 0.1581 0.0353
12 Dy 0.3856 0.5060 0.8384
13 Dy 0.4940 0.1616 0.6144
14 Dy 0.5060 0.8384 0.3856
15 Dy 0.6144 0.4940 0.1616
16 Dy 0.6230 0.8419 0.9647
17 Dy 0.8384 0.3856 0.5060
18 Dy 0.8419 0.9647 0.6230
19 Dy 0.9647 0.6230 0.8419
20 Pb 0.5000 0.5000 0.5000


Record 3
Starting from a cell relaxed with GGA-PBE, the X-ray diffraction stick pattern of Cs3ErCu2Br9 was simulated for copper Kα.
Peak positions follow from Bragg's law for the DFT cell and can differ from measured ones.

Most intense lines, 15° ≤ 2θ ≤ 90°, by angle:
- 22.95°, intensity 236
- 23.09°, intensity 241
- 28.11°, intensity 181
- 28.34°, intensity 514
- 32.78°, intensity 1000
- 40.50°, intensity 159
- 46.88°, intensity 345
- 47.18°, intensity 358
- 58.64°, intensity 182
- 78.45°, intensity 156

Crystal structure
a = 7.7055 Å, b = 7.7055 Å, c = 9.5218 Å
α = 90.00°, β = 90.00°, γ = 120.00°
Fractional positions:
1 Cs 0.0000 0.0000 0.0000
2 Cs 0.3333 0.6667 0.6705
3 Cs 0.6667 0.3333 0.3295
4 Er 0.0000 0.0000 0.5000
5 Cu 0.3333 0.6667 0.1321
6 Cu 0.6667 0.3333 0.8679
7 Br 0.0000 0.5000 0.0000
8 Br 0.1698 0.3396 0.3307
9 Br 0.1698 0.8302 0.3307
10 Br 0.3396 0.1698 0.6693
11 Br 0.5000 0.0000 0.0000
12 Br 0.5000 0.5000 0.0000
13 Br 0.6604 0.8302 0.3307
14 Br 0.8302 0.1698 0.6693
15 Br 0.8302 0.6604 0.6693


Record 4
Starting from a cell relaxed with GGA-PBE, the X-ray diffraction stick pattern of Ti3Zn2N was simulated for copper Kα.
Peak positions follow from Bragg's law for the DFT cell and can differ from measured ones.

Most intense lines, 15° ≤ 2θ ≤ 90°, by angle:
- 18.29°, intensity 62
- 39.40°, intensity 1000
- 41.63°, intensity 547
- 43.76°, intensity 208
- 49.72°, intensity 191
- 55.20°, intensity 61
- 69.91°, intensity 237
- 71.44°, intensity 75
- 74.47°, intensity 237
- 84.78°, intensity 90

Crystal structure
a = 6.8610 Å, b = 6.8610 Å, c = 6.8610 Å
α = 90.00°, β = 90.00°, γ = 90.00°
Fractional positions:
1 Ti 0.0392 0.1250 0.7892
2 Ti 0.1250 0.7892 0.0392
3 Ti 0.2108 0.5392 0.3750
4 Ti 0.2892 0.4608 0.8750
5 Ti 0.3750 0.2108 0.5392
6 Ti 0.4608 0.8750 0.2892
7 Ti 0.5392 0.3750 0.2108
8 Ti 0.6250 0.7108 0.9608
9 Ti 0.7108 0.9608 0.6250
10 Ti 0.7892 0.0392 0.1250
11 Ti 0.8750 0.2892 0.4608
12 Ti 0.9608 0.6250 0.7108
13 Zn 0.0720 0.9280 0.4280
14 Zn 0.1780 0.1780 0.1780
15 Zn 0.3220 0.8220 0.6780
16 Zn 0.4280 0.0720 0.9280
17 Zn 0.5720 0.5720 0.5720
18 Zn 0.6780 0.3220 0.8220
19 Zn 0.8220 0.6780 0.3220
20 Zn 0.9280 0.4280 0.0720
21 N 0.1250 0.3750 0.6250
22 N 0.3750 0.6250 0.1250
23 N 0.6250 0.1250 0.3750
24 N 0.8750 0.8750 0.8750


Record 5
Starting from a cell relaxed with GGA-PBE, the X-ray diffraction stick pattern of CrCo2H2 was simulated for copper Kα.
Peak positions follow from Bragg's law for the DFT cell and can differ from measured ones.

Most intense lines, 15° ≤ 2θ ≤ 90°, by angle:
- 26.92°, intensity 71
- 40.88°, intensity 294
- 42.65°, intensity 1000
- 49.14°, intensity 590
- 58.75°, intensity 88
- 70.79°, intensity 151
- 73.28°, intensity 176
- 85.11°, intensity 94
- 87.48°, intensity 163
- 88.66°, intensity 113

Crystal structure
a = 2.5837 Å, b = 2.5837 Å, c = 6.6233 Å
α = 90.00°, β = 90.00°, γ = 120.00°
Fractional positions:
1 Cr 0.0000 0.0000 0.0000
2 Co 0.3333 0.6667 0.6985
3 Co 0.6667 0.3333 0.3015
4 H 0.3333 0.6667 0.4178
5 H 0.6667 0.3333 0.5822


Record 6
Starting from a cell relaxed with GGA-PBE, the X-ray diffraction stick pattern of Ac2ScSb2O2 was simulated for copper Kα.
Peak positions follow from Bragg's law for the DFT cell and can differ from measured ones.

Most intense lines, 15° ≤ 2θ ≤ 90°, by angle:
- 20.97°, intensity 469
- 28.86°, intensity 782
- 33.44°, intensity 1000
- 35.94°, intensity 327
- 41.27°, intensity 361
- 46.73°, intensity 187
- 52.93°, intensity 171
- 54.12°, intensity 552
- 70.25°, intensity 191
- 84.87°, intensity 190

Crystal structure
a = 9.0218 Å, b = 9.0218 Å, c = 9.0218 Å
α = 151.93°, β = 151.93°, γ = 40.11°
Fractional positions:
1 Ac 0.1117 0.1117 0.0000
2 Ac 0.8883 0.8883 0.0000
3 Sc 0.5000 0.5000 0.0000
4 Sb 0.3153 0.3153 0.0000
5 Sb 0.6847 0.6847 0.0000
6 O 0.0000 0.5000 0.5000
7 O 0.5000 0.0000 0.5000